Theoretical powder diffraction line list of LiVP2O7 for Cu Kα (weighted mean of Kα1 and Kα2), from a PBE+U-relaxed structure.
Kinematic intensities with the Lorentz-polarization factor, no thermal factor.

Peak list (10 most intense, 2θ = 10–90°, in order of rising 2θ)
index  Position (°2θ)  I (rel.)
0 1 0  13.71  515
0 1 1  16.29  846
1 1 1  19.19  772
1 1 -1  23.27  258
0 0 2  25.44  582
-1 1 1  26.77  519
0 2 1  27.50  435
0 2 0  27.61  263
0 1 -2  31.85  313
2 1 1  32.19  1000

Structure:
a b c (Å): 5.814 7.208 7.252
angles (deg): 74.94 84.01 67.40
Space group P-1 (No. 2)
Symmetry-distinct sites (fractional):
Li 0.089 0.323 0.146
V 0.298 0.597 0.304
P 0.218 0.268 0.694
P 0.341 0.816 0.851
O 0.021 0.285 0.557
O 0.068 0.367 0.854
O 0.114 0.828 0.764
O 0.337 0.789 0.070
O 0.391 0.032 0.769
O 0.402 0.372 0.588
O 0.409 0.342 0.204